# Na2YSnP3O12
Theoretical XRD peak list, Cu Kα (weighted mean of Kα1 and Kα2). Input: a cell relaxed with PBE.
Intensities are scaled so that the largest is 1000.

Peak list (10 most intense, 2θ = 5–70°, by angle)
2θ (°), d/Å, intensity
13.6, 6.505, 359
19.1, 4.645, 764
19.5, 4.548, 830
22.7, 3.912, 543
27.4, 3.250, 454
30.5, 2.932, 1000
34.0, 2.635, 234
34.2, 2.622, 348
46.4, 1.959, 235
50.1, 1.822, 195

Structure:
```
data_Na2YSnP3O12
_chemical_formula_sum 'Na8 Y4 Sn4 P12 O48'
_cell_length_a 15.806
_cell_length_b 9.069
_cell_length_c 9.307
_cell_angle_alpha 90.00
_cell_angle_beta 124.49
_cell_angle_gamma 90.00
_symmetry_space_group_name_H-M 'C 1 c 1'
_symmetry_Int_Tables_number 9
_symmetry_space_group_name_Hall 'C -2yc'
loop_
_atom_site_label
_atom_site_type_symbol
_atom_site_fract_x
_atom_site_fract_y
_atom_site_fract_z
_atom_site_occupancy
Na1 Na 0.000 0.109 0.000 1
Na2 Na 0.252 0.250 0.246 1
Y1 Y 0.395 0.241 0.689 1
Sn1 Sn 0.106 0.256 0.799 1
P1 P 0.011 0.450 0.000 1
P2 P 0.143 0.093 0.488 1
P3 P 0.355 0.388 0.005 1
O1 O 0.048 0.151 0.322 1
O2 O 0.079 0.454 0.669 1
O3 O 0.090 0.353 0.988 1
O4 O 0.138 0.121 0.651 1
O5 O 0.146 0.081 0.982 1
O6 O 0.238 0.155 0.507 1
O7 O 0.260 0.313 0.986 1
O8 O 0.350 0.443 0.517 1
O9 O 0.361 0.358 0.851 1
O10 O 0.441 0.158 0.514 1
O11 O 0.445 0.042 0.839 1
O12 O 0.452 0.322 0.178 1
```